Simulated X-ray diffraction stick pattern
Compound: Mn3ClF5
Radiation: Cu Ka
Structure: a crystal structure in Alexandria, relaxed with PBE+U
Neutral-atom scattering factors, no anomalous dispersion.

Peak list (10 most intense, 10° ≤ 2θ ≤ 80°, low angle first)
Position (°2θ)  I/Imax
23.49  73
25.66  100
31.37  78
35.27  25
36.81  26
37.92  21
46.53  51
48.96  54
53.36  25
60.61  40

Atomic structure:
Cell: 11.879 11.879 3.434 Å, 90.00 90.00 146.01°
Fractional positions:
Mn 0.000 0.000 0.000
Mn 0.160 0.840 0.500
Mn 0.312 0.688 0.000
Mn 0.500 0.500 0.500
Mn 0.688 0.312 0.000
Mn 0.840 0.160 0.500
Cl 0.393 0.607 0.500
Cl 0.607 0.393 0.500
F 0.017 0.362 0.000
F 0.063 0.937 0.500
F 0.258 0.742 0.500
F 0.304 0.304 0.000
F 0.362 0.017 0.000
F 0.638 0.983 0.000
F 0.696 0.696 0.000
F 0.742 0.258 0.500
F 0.937 0.063 0.500
F 0.983 0.638 0.000